The following is a computed PXRD pattern of K6HfSb4. It was derived from a DFT-relaxed cell (GGA-PBE, Alexandria), using Cu Kα (λ = 1.5418 Å).
No peak broadening, texture or thermal motion is included.

Crystal structure
Lattice parameters (Å, degrees): 11.235 11.235 8.753 90.00 90.00 120.00
Fractional coordinates of all 22 atoms:
1 K 0.059 0.530 0.000
2 K 0.143 0.287 0.318
3 K 0.143 0.857 0.318
4 K 0.287 0.143 0.818
5 K 0.470 0.530 0.000
6 K 0.470 0.941 0.000
7 K 0.530 0.059 0.500
8 K 0.530 0.470 0.500
9 K 0.713 0.857 0.318
10 K 0.857 0.143 0.818
11 K 0.857 0.713 0.818
12 K 0.941 0.470 0.500
13 Hf 0.333 0.667 0.617
14 Hf 0.667 0.333 0.117
15 Sb 0.196 0.391 0.709
16 Sb 0.196 0.804 0.709
17 Sb 0.333 0.667 0.298
18 Sb 0.391 0.196 0.209
19 Sb 0.609 0.804 0.709
20 Sb 0.667 0.333 0.798
21 Sb 0.804 0.196 0.209
22 Sb 0.804 0.609 0.209

Most intense lines, 10 to 80 degrees two-theta, sorted by position:
13.61 deg, intensity 1000, (1 0 1); 18.24 deg, intensity 420, (2 0 0); 20.89 deg, intensity 272, (2 0 1); 26.29 deg, intensity 540, (2 1 1); 27.41 deg, intensity 551, (2 0 2); 29.37 deg, intensity 375, (3 0 1); 31.85 deg, intensity 925, (2 2 0); 32.02 deg, intensity 367, (1 0 3); 35.89 deg, intensity 315, (2 0 3); 51.55 deg, intensity 298, (3 2 3)